The following is a calculated X-ray powder pattern of AcCrAgO5. It was derived from a structure optimized by DFT (GGA+U), using CuKα.
Neutral-atom scattering factors, no anomalous dispersion.

a b c (Å): 9.010 9.277 8.938
angles (deg): 90.00 118.89 90.00
Space group C2/c (No. 15)
Asymmetric unit:
Ac (0.000, 0.000, 0.000)
Cr (0.000, 0.365, 0.250)
Ag (0.000, 0.315, 0.750)
O (0.000, 0.089, 0.750)
O (0.016, 0.261, 0.108)
O (0.175, 0.469, 0.349)

Main lines, in order of falling intensity (15 to 90 degrees two-theta):
two_theta	intensity
22.08	100
22.54	82
31.07	56
29.87	36
31.98	32
30.10	31
45.28	28
31.54	28
51.92	19
40.37	17